Structure and simulated XRD peak list of LiAlCd (a DFT-relaxed cell (PBE, Alexandria); λ = 1.5418 Å (Cu Kα)).
Intensities are scaled so that the largest is 100.

Structure:
abc: 4.8616 5.0921 8.7135
angles: 90.00 90.00 90.00
Space group Ama2 (No. 40)
Inequivalent atoms, fractional coordinates:
Li 0.2500 0.1698 0.0000
Al 0.2500 0.1540 0.6613
Cd 0.2500 0.1735 0.3315

Largest 10 diffraction maxima, by angle, 2θ = 5–70°:
(hkl), 2θ (°), Rel. int.
0 1 1, 20.2, 27
0 0 2, 20.4, 62
1 1 1, 27.4, 100
0 1 3, 35.6, 15
2 0 0, 37.0, 30
1 2 0, 40.0, 34
1 1 3, 40.3, 71
2 0 2, 42.6, 26
1 2 2, 45.3, 20
3 1 3, 68.9, 15